Structure and computed X-ray powder pattern of CdSn2H12O6F6 (DFT lattice parameters and positions (GGA-PBE); Cu Kα, 1.54184 Å).
Kinematic intensities with the Lorentz-polarization factor, no thermal factor.

Top 10 peaks for 15 to 90 degrees two-theta, in order of rising 2θ:
(hkl)  d_spacing  I_rel
1 1 1  5.053  100.0
1 0 -1  4.480  72.4
0 1 -1  4.431  64.4
1 -1 0  4.079  52.4
1 2 0  3.413  26.0
0 1 2  3.395  27.4
2 1 0  3.311  54.0
0 2 1  3.283  55.5
1 0 2  3.256  52.3
-1 2 2  2.240  43.6

```
CdSn2H12O6F6
1.0
6.8743 0.0000 0.0000
2.3795 6.8295 0.0000
1.4117 1.4052 7.0214
Cd Sn H O F
1 2 12 6 6
Cartesian
0.0000 0.0000 0.0000
3.5727 2.6716 2.5239
7.0928 5.5631 4.4976
3.0429 5.9236 2.6538
3.5951 6.0131 5.2024
4.4086 5.5175 6.4734
3.7205 3.0806 6.6042
4.3742 6.5189 2.0141
3.8751 1.7932 5.6615
6.7904 6.4416 1.3599
6.2914 1.7158 5.0073
6.9450 5.1541 0.4172
6.2569 2.7172 0.5480
7.0705 2.2217 1.8191
7.6226 2.3111 4.3677
3.5695 5.9732 1.8109
4.3433 6.2598 5.8107
3.2175 2.4330 6.0415
7.4481 5.8018 0.9800
6.3222 1.9750 1.2108
7.0960 2.2615 5.2105
1.4709 2.5628 2.8919
3.0730 2.8266 0.4779
3.3941 0.5692 2.2204
7.2715 7.6655 4.8011
7.5925 5.4082 6.5435
9.1946 5.6720 4.1295
```